Entry 1:
Calculated X-ray diffraction stick pattern
Compound: W2SeS3
Radiation: copper Kα
Structure: the PBE geometry in the Materials Project

Most intense lines, 2θ = 10–90°, low angle first:
h k l, 2θ (°), intensity
0 0 5, 11.50, 100
0 0 6, 13.81, 21
1 0 0, 32.10, 20
1 0 3, 32.84, 12
1 0 5, 34.18, 12
1 0 8, 37.25, 40
0 1 13, 44.63, 29
1 1 0, 57.18, 13
1 1 5, 58.53, 10
0 2 8, 70.27, 10

Cell and atoms:
```
data_W2SeS3
_cell_length_a 3.2224
_cell_length_b 3.2224
_cell_length_c 38.4705
_cell_angle_alpha 90.00
_cell_angle_beta 90.00
_cell_angle_gamma 120.00
_symmetry_space_group_name_H-M 'P 3 m 1'
_symmetry_Int_Tables_number 156
_symmetry_space_group_name_Hall 'P 3 -2"'
loop_
_atom_site_label
_atom_site_fract_x
_atom_site_fract_y
_atom_site_fract_z
W1 0.0000 0.0000 0.0000
W2 0.0000 0.0000 0.3769
W3 0.3333 0.6667 0.1879
W4 0.3333 0.6667 0.5672
Se1 0.3333 0.6667 0.3322
Se2 0.3333 0.6667 0.4215
S1 0.0000 0.0000 0.1474
S2 0.0000 0.0000 0.2284
S3 0.0000 0.0000 0.5266
S4 0.0000 0.0000 0.6077
S5 0.3333 0.6667 0.0405
S6 0.3333 0.6667 0.9595
```

=====

Entry 2:
Calculated X-ray diffraction stick pattern
Compound: BMoN3
Radiation: copper Kα
Structure: the PBE geometry in the Materials Project

Most intense lines, 2θ = 10–90°, low angle first:
h k l, 2θ (°), intensity
0 1 0, 12.19, 71
1 0 -1, 17.00, 100
1 -1 0, 18.75, 75
1 1 -1, 21.68, 61
1 1 0, 22.68, 19
0 2 -1, 25.40, 28
1 -2 0, 26.95, 37
-2 1 1, 32.53, 21
0 1 -3, 36.39, 19
-1 1 3, 37.75, 28

Cell and atoms:
```
data_BMoN3
_cell_length_a 5.675
_cell_length_b 7.451
_cell_length_c 7.922
_cell_angle_alpha 96.61
_cell_angle_beta 108.47
_cell_angle_gamma 98.50
_symmetry_space_group_name_H-M 'P -1'
_symmetry_Int_Tables_number 2
_symmetry_space_group_name_Hall '-P 1'
loop_
_atom_site_label
_atom_site_fract_x
_atom_site_fract_y
_atom_site_fract_z
B1 0.093 0.460 0.293
B2 0.213 0.739 0.560
Mo1 0.080 0.804 0.925
Mo2 0.336 0.888 0.306
N1 0.058 0.968 0.166
N2 0.083 0.687 0.682
N3 0.155 0.394 0.122
N4 0.197 0.644 0.386
N5 0.378 0.917 0.594
N6 0.380 0.768 0.104
```

=====

Entry 3:
Calculated X-ray diffraction stick pattern
Compound: Lu2I2O
Radiation: copper Kα
Structure: the PBE geometry in the Materials Project

Most intense lines, 2θ = 10–90°, low angle first:
h k l, 2θ (°), intensity
0 0 2, 11.55, 17
1 0 0, 21.25, 100
1 0 2, 24.25, 13
1 1 0, 30.23, 41
1 0 4, 31.69, 20
1 0 5, 36.36, 24
1 1 5, 42.49, 15
2 0 0, 43.28, 15
2 1 0, 48.70, 22
2 1 5, 57.77, 13

Cell and atoms:
```
data_Lu2I2O
_cell_length_a 4.181
_cell_length_b 4.181
_cell_length_c 15.318
_cell_angle_alpha 90.00
_cell_angle_beta 90.00
_cell_angle_gamma 90.00
_symmetry_space_group_name_H-M 'P 4/m m m'
_symmetry_Int_Tables_number 123
_symmetry_space_group_name_Hall '-P 4 2'
loop_
_atom_site_label
_atom_site_fract_x
_atom_site_fract_y
_atom_site_fract_z
Lu1 0.000 0.000 0.130
I1 0.000 0.000 0.312
O1 0.000 0.000 0.000
```

=====

Entry 4:
Calculated X-ray diffraction stick pattern
Compound: Sr4PtN4
Radiation: copper Kα
Structure: the PBE geometry in the Materials Project

Most intense lines, 2θ = 10–90°, low angle first:
h k l, 2θ (°), intensity
1 0 2, 13.14, 26
1 1 1, 24.71, 14
0 1 3, 28.43, 17
2 1 2, 29.38, 100
2 0 5, 31.36, 31
2 1 3, 31.97, 32
0 0 6, 33.45, 21
3 1 4, 38.95, 18
0 2 0, 46.90, 18
6 1 3, 53.12, 18

Cell and atoms:
```
data_Sr4PtN4
_cell_length_a 12.378
_cell_length_b 3.874
_cell_length_c 16.070
_cell_angle_alpha 90.00
_cell_angle_beta 90.00
_cell_angle_gamma 90.00
_symmetry_space_group_name_H-M 'P n m a'
_symmetry_Int_Tables_number 62
_symmetry_space_group_name_Hall '-P 2ac 2n'
loop_
_atom_site_label
_atom_site_fract_x
_atom_site_fract_y
_atom_site_fract_z
Sr1 0.054 0.250 0.090
Sr2 0.094 0.750 0.329
Sr3 0.149 0.250 0.540
Sr4 0.157 0.750 0.767
Pt1 0.172 0.250 0.927
N1 0.015 0.250 0.425
N2 0.052 0.750 0.637
N3 0.151 0.750 0.163
N4 0.237 0.750 0.207
```

=====

Entry 5:
Calculated X-ray diffraction stick pattern
Compound: TlInP2Se6
Radiation: copper Kα
Structure: the PBE geometry in the Materials Project

Most intense lines, 2θ = 10–90°, low angle first:
h k l, 2θ (°), intensity
0 1 -1, 12.50, 59
0 2 -2, 25.15, 100
0 2 -3, 28.63, 32
-1 2 2, 29.57, 39
1 1 2, 29.86, 99
2 -2 1, 30.53, 50
1 0 -4, 31.22, 93
1 2 1, 36.00, 30
3 -1 3, 49.38, 33
0 1 6, 50.37, 28

Cell and atoms:
```
data_TlInP2Se6
_cell_length_a 6.606
_cell_length_b 8.120
_cell_length_c 12.407
_cell_angle_alpha 102.34
_cell_angle_beta 93.43
_cell_angle_gamma 111.73
_symmetry_space_group_name_H-M 'P -1'
_symmetry_Int_Tables_number 2
_symmetry_space_group_name_Hall '-P 1'
loop_
_atom_site_label
_atom_site_fract_x
_atom_site_fract_y
_atom_site_fract_z
Tl1 0.170 0.325 0.037
In1 0.292 0.070 0.591
P1 0.079 0.670 0.295
P2 0.199 0.942 0.246
Se1 0.044 0.269 0.540
Se2 0.095 0.989 0.773
Se3 0.181 0.536 0.833
Se4 0.328 0.911 0.091
Se5 0.367 0.596 0.315
Se6 0.461 0.142 0.390
```